The following is a calculated powder diffractogram of Sm2ZrNiS5. It was derived from the GGA-PBE geometry in Alexandria, using Cu Ka.

Atomic structure:
```
data_Sm2ZrNiS5
_chemical_formula_sum 'Sm8 Zr4 Ni4 S20'
_space_group_name_H-M_alt 'C m c 21'
_space_group_IT_number 36
_space_group_name_Hall 'C 2c -2'
_cell_length_a 3.7639
_cell_length_b 16.3748
_cell_length_c 11.5128
_cell_angle_alpha 90.00
_cell_angle_beta 90.00
_cell_angle_gamma 90.00
loop_
_atom_site_label
_atom_site_fract_x
_atom_site_fract_y
_atom_site_fract_z
Sm1 0.0000 0.1160 0.0000
Sm2 0.0000 0.1178 0.6399
Zr1 0.0000 0.1782 0.3224
Ni1 0.0000 0.4342 0.7360
S1 0.0000 0.0275 0.3340
S2 0.0000 0.2998 0.9838
S3 0.0000 0.3069 0.6650
S4 0.0000 0.3438 0.3202
S5 0.0000 0.4980 0.0683
```

The 8 most intense peaks (2θ = 15–90°), most intense first:
33.79°, rel. 100, (1 1 3); 25.64°, rel. 53, (0 2 3); 39.70°, rel. 39, (1 5 2); 21.71°, rel. 31, (0 4 0); 28.83°, rel. 25, (1 3 0); 37.29°, rel. 20, (1 3 3); 48.36°, rel. 19, (2 0 0); 24.26°, rel. 17, (1 1 0)